MgGa2Pt2: computed PXRD pattern (a wavelength of 1.5418 Å), based on a crystal structure in Alexandria, relaxed with PBE.
Peak positions follow from Bragg's law for the DFT cell and can differ from measured ones.

Atomic structure:
```
data_MgGa2Pt2
_symmetry_space_group_name_H-M 'P m m n'
_symmetry_Int_Tables_number 59
_cell_length_a 4.111
_cell_length_b 4.335
_cell_length_c 9.662
_cell_angle_alpha 90.00
_cell_angle_beta 90.00
_cell_angle_gamma 90.00
loop_
_symmetry_equiv_pos_as_xyz
'x,y,z'
'-x,-y,-z'
'-x+1/2,-y+1/2,z'
'x+1/2,y+1/2,-z'
'x+1/2,-y,-z'
'-x+1/2,y,z'
'-x,y+1/2,-z'
'x,-y+1/2,z'
loop_
_atom_site_label
_atom_site_type_symbol
_atom_site_fract_x
_atom_site_fract_y
_atom_site_fract_z
_atom_site_occupancy
Mg1 Mg 0.250 0.250 0.185 1
Ga1 Ga 0.250 0.250 0.494 1
Ga2 Ga 0.250 0.250 0.824 1
Pt1 Pt 0.250 0.750 0.004 1
Pt2 Pt 0.250 0.750 0.346 1
```

Top 8 peaks for 10° ≤ 2θ ≤ 80°, by angle:
2θ (°)	Rel. int.	hkl
22.48	33	0 1 1
27.68	18	0 0 3
28.51	21	1 0 2
29.96	17	1 1 0
41.25	100	1 1 3
41.67	25	0 2 0
44.06	21	2 0 0
75.78	17	1 3 3

TbMgGa2Pt2: computed PXRD pattern (a wavelength of 1.5418 Å), based on a crystal structure in Alexandria, relaxed with PBE.
Peak positions follow from Bragg's law for the DFT cell and can differ from measured ones.

Atomic structure:
```
data_TbMgGa2Pt2
_symmetry_space_group_name_H-M 'P -3 m 1'
_symmetry_Int_Tables_number 164
_symmetry_space_group_name_Hall '-P 3 2"'
_cell_length_a 4.4134
_cell_length_b 4.4134
_cell_length_c 6.5886
_cell_angle_alpha 90.00
_cell_angle_beta 90.00
_cell_angle_gamma 120.00
loop_
_atom_site_label
_atom_site_type_symbol
_atom_site_fract_x
_atom_site_fract_y
_atom_site_fract_z
_atom_site_occupancy
Tb1 Tb 0.0000 0.0000 0.0000 1
Mg1 Mg 0.0000 0.0000 0.5000 1
Ga1 Ga 0.3333 0.6667 0.2914 1
Pt1 Pt 0.3333 0.6667 0.7224 1
```

Top 8 peaks for 10° ≤ 2θ ≤ 80°, by angle:
2θ (°)	Rel. int.	hkl
26.99	100	1 0 1
35.99	97	0 1 2
40.90	94	1 1 0
49.70	36	0 2 1
55.60	28	2 0 2
59.37	22	1 1 3
71.28	26	1 2 2
71.47	22	1 1 4

TbMg2Ga2Pt: computed PXRD pattern (a wavelength of 1.5418 Å), based on a crystal structure in Alexandria, relaxed with PBE.
Peak positions follow from Bragg's law for the DFT cell and can differ from measured ones.

Atomic structure:
```
data_TbMg2Ga2Pt
_symmetry_space_group_name_H-M 'I 4/m m m'
_symmetry_Int_Tables_number 139
_symmetry_space_group_name_Hall '-I 4 2'
_cell_length_a 3.986
_cell_length_b 3.986
_cell_length_c 20.572
_cell_angle_alpha 90.00
_cell_angle_beta 90.00
_cell_angle_gamma 90.00
loop_
_atom_site_label
_atom_site_type_symbol
_atom_site_fract_x
_atom_site_fract_y
_atom_site_fract_z
_atom_site_occupancy
Tb1 Tb 0.000 0.000 0.000 1
Mg1 Mg 0.000 0.500 0.250 1
Ga1 Ga 0.000 0.000 0.144 1
Pt1 Pt 0.000 0.000 0.500 1
```

Top 8 peaks for 10° ≤ 2θ ≤ 80°, by angle:
2θ (°)	Rel. int.	hkl
17.24	67	0 0 4
25.85	40	1 0 3
25.99	54	0 0 6
31.75	82	1 1 0
32.95	100	1 1 2
41.47	100	1 1 6
45.51	46	2 0 0
53.14	42	2 0 6

ThMg2GaPt2: computed PXRD pattern (a wavelength of 1.5418 Å), based on a crystal structure in Alexandria, relaxed with PBE.
Peak positions follow from Bragg's law for the DFT cell and can differ from measured ones.

Atomic structure:
```
data_ThMg2GaPt2
_symmetry_space_group_name_H-M 'I 4/m m m'
_symmetry_Int_Tables_number 139
_symmetry_space_group_name_Hall '-I 4 2'
_cell_length_a 5.199
_cell_length_b 5.199
_cell_length_c 10.417
_cell_angle_alpha 90.00
_cell_angle_beta 90.00
_cell_angle_gamma 90.00
loop_
_atom_site_label
_atom_site_type_symbol
_atom_site_fract_x
_atom_site_fract_y
_atom_site_fract_z
_atom_site_occupancy
Th1 Th 0.000 0.000 0.000 1
Mg1 Mg 0.000 0.500 0.250 1
Ga1 Ga 0.000 0.000 0.500 1
Pt1 Pt 0.000 0.000 0.264 1
```

Top 8 peaks for 10° ≤ 2θ ≤ 80°, by angle:
2θ (°)	Rel. int.	hkl
24.21	100	1 1 0
30.97	17	1 0 3
34.48	82	2 0 0
42.54	43	1 1 4
49.56	58	2 2 0
55.93	21	3 1 0
61.77	20	2 2 4
67.36	23	3 1 4

MgZnGaPt: computed PXRD pattern (a wavelength of 1.5418 Å), based on a crystal structure in Alexandria, relaxed with PBE.
Peak positions follow from Bragg's law for the DFT cell and can differ from measured ones.

Atomic structure:
```
data_MgZnGaPt
_symmetry_space_group_name_H-M 'R 3 m'
_symmetry_Int_Tables_number 160
_symmetry_space_group_name_Hall 'R 3 -2"'
_cell_length_a 4.2738
_cell_length_b 4.2738
_cell_length_c 13.1008
_cell_angle_alpha 90.00
_cell_angle_beta 90.00
_cell_angle_gamma 120.00
loop_
_atom_site_label
_atom_site_type_symbol
_atom_site_fract_x
_atom_site_fract_y
_atom_site_fract_z
_atom_site_occupancy
Mg1 Mg 0.0000 0.0000 0.0000 1
Zn1 Zn 0.0000 0.0000 0.5716 1
Ga1 Ga 0.0000 0.0000 0.1973 1
Pt1 Pt 0.0000 0.0000 0.7865 1
```

Top 8 peaks for 10° ≤ 2θ ≤ 80°, by angle:
2θ (°)	Rel. int.	hkl
20.34	27	0 0 3
25.00	36	1 0 1
27.68	31	0 1 2
36.64	26	1 0 4
42.28	100	1 1 0
47.36	18	1 1 3
61.33	16	2 0 5
77.31	31	3 0 0

PuMgGaRu2: computed PXRD pattern (a wavelength of 1.5418 Å), based on a crystal structure in Alexandria, relaxed with PBE.
Peak positions follow from Bragg's law for the DFT cell and can differ from measured ones.

Atomic structure:
```
data_PuMgGaRu2
_symmetry_space_group_name_H-M 'C 1 2/m 1'
_symmetry_Int_Tables_number 12
_symmetry_space_group_name_Hall '-C 2y'
_cell_length_a 10.745
_cell_length_b 4.072
_cell_length_c 9.006
_cell_angle_alpha 90.00
_cell_angle_beta 111.26
_cell_angle_gamma 90.00
loop_
_atom_site_label
_atom_site_type_symbol
_atom_site_fract_x
_atom_site_fract_y
_atom_site_fract_z
_atom_site_occupancy
Pu1 Pu 0.219 0.000 0.304 1
Mg1 Mg 0.122 0.000 0.905 1
Ga1 Ga 0.022 0.500 0.360 1
Ru1 Ru 0.105 0.500 0.129 1
Ru2 Ru 0.124 0.000 0.591 1
```

Top 8 peaks for 10° ≤ 2θ ≤ 80°, by angle:
2θ (°)	Rel. int.	hkl
10.54	66	0 0 1
17.02	35	2 0 -1
22.16	58	2 0 -2
27.21	37	1 1 1
34.75	35	3 1 0
39.29	100	3 1 1
44.50	43	0 2 0
46.57	35	1 1 -4

RbMg2Ga4: computed PXRD pattern (a wavelength of 1.5418 Å), based on a crystal structure in Alexandria, relaxed with PBE.
Peak positions follow from Bragg's law for the DFT cell and can differ from measured ones.

Atomic structure:
```
data_RbMg2Ga4
_symmetry_space_group_name_H-M 'I m m m'
_symmetry_Int_Tables_number 71
_symmetry_space_group_name_Hall '-I 2 2'
_cell_length_a 4.326
_cell_length_b 4.476
_cell_length_c 17.852
_cell_angle_alpha 90.00
_cell_angle_beta 90.00
_cell_angle_gamma 90.00
loop_
_atom_site_label
_atom_site_type_symbol
_atom_site_fract_x
_atom_site_fract_y
_atom_site_fract_z
_atom_site_occupancy
Rb1 Rb 0.000 0.000 0.000 1
Mg1 Mg 0.000 0.500 0.310 1
Ga1 Ga 0.000 0.000 0.420 1
Ga2 Ga 0.000 0.500 0.157 1
```

Top 8 peaks for 10° ≤ 2θ ≤ 80°, by angle:
2θ (°)	Rel. int.	hkl
24.89	37	0 1 3
30.43	100	1 1 2
32.07	32	0 1 5
40.30	32	0 2 0
41.09	43	1 0 7
41.76	29	2 0 0
42.02	32	1 1 6
58.91	29	1 2 7

RbMg2GaSe4: computed PXRD pattern (a wavelength of 1.5418 Å), based on a crystal structure in Alexandria, relaxed with PBE.
Peak positions follow from Bragg's law for the DFT cell and can differ from measured ones.

Atomic structure:
```
data_RbMg2GaSe4
_symmetry_space_group_name_H-M 'C m c m'
_symmetry_Int_Tables_number 63
_symmetry_space_group_name_Hall '-C 2c 2'
_cell_length_a 3.907
_cell_length_b 15.234
_cell_length_c 14.516
_cell_angle_alpha 90.00
_cell_angle_beta 90.00
_cell_angle_gamma 90.00
loop_
_atom_site_label
_atom_site_type_symbol
_atom_site_fract_x
_atom_site_fract_y
_atom_site_fract_z
_atom_site_occupancy
Rb1 Rb 0.000 0.134 0.250 1
Mg1 Mg 0.000 0.393 0.061 1
Ga1 Ga 0.000 0.152 0.750 1
Se1 Se 0.000 0.000 0.000 1
Se2 Se 0.000 0.227 0.605 1
Se3 Se 0.000 0.450 0.250 1
```

Top 8 peaks for 10° ≤ 2θ ≤ 80°, by angle:
2θ (°)	Rel. int.	hkl
13.13	35	0 2 1
26.43	42	0 4 2
27.22	61	0 2 4
29.50	66	1 3 1
29.98	33	1 1 3
31.41	100	1 3 2
47.71	42	1 3 6
54.49	44	1 7 4